This entry pairs a crystal structure of Zn2FeCu5 with its calculated PXRD pattern. Radiation: Cu Kα X-rays. Structure: a cell relaxed with GGA-PBE.
Neutral-atom scattering factors, no anomalous dispersion.

Largest 4 diffraction maxima, by angle, 2θ = 10–90°:
(hkl)	Position (°2θ)	d_spacing	I_rel
2 0 0	44.19	2.050	100
0 0 4	64.20	1.451	5
2 2 0	64.31	1.449	10
3 1 2	81.31	1.183	29

Lattice parameters (Å, degrees): 4.097 4.097 5.803 90.00 90.00 90.00
Fractional positions:
Zn1 0.000 0.000 0.000
Zn2 0.500 0.500 0.500
Fe1 0.000 0.000 0.500
Cu1 0.000 0.500 0.252
Cu2 0.000 0.500 0.748
Cu3 0.500 0.000 0.252
Cu4 0.500 0.000 0.748
Cu5 0.500 0.500 0.000